(1)
This entry pairs a crystal structure of Rb2S3 with its calculated powder diffractogram. Radiation: Cu Kα. Structure: a GGA-PBE-relaxed structure.
Lines closer than 0.1° are merged.

Structure:
```
10
Lattice="3.7804 -5.3422 0.0000 3.7804 5.3422 0.0000 0.0000 0.0000 7.9599" Properties=species:S:1:pos:R:3 pbc="T T T"
Rb 3.7804 4.4883 3.9799
Rb 3.7804 1.1343 2.1573
Rb 3.7804 -1.1343 6.1372
Rb 3.7804 -4.4883 0.0000
S 2.0856 1.6871 5.2326
S 3.7804 2.1332 6.3861
S 2.0856 -1.6871 1.2526
S 5.4753 1.6871 5.2326
S 3.7804 -2.1332 2.4062
S 5.4753 -1.6871 1.2526
```

Most intense lines, 15 to 90 degrees two-theta, by angle:
Position (°2θ)	d (Å)	I_rel
18.19	4.877	214
23.53	3.780	291
26.65	3.345	1000
29.92	2.987	624
31.08	2.877	650
37.86	2.376	229
43.33	2.088	243
45.55	1.991	249

---

(2)
This entry pairs a crystal structure of RbS5 with its calculated powder diffractogram. Radiation: Cu Kα. Structure: a GGA-PBE-relaxed structure.
Lines closer than 0.1° are merged.

Structure:
```
6
Lattice="5.5420 0.0000 0.0000 2.4117 5.1036 0.0000 1.7653 -0.6745 7.6581" Properties=species:S:1:pos:R:3 pbc="T T T"
Rb 0.0000 0.0000 0.0000
S 4.5696 1.1114 6.4124
S 4.1740 1.0080 4.4641
S 5.3154 3.5360 3.1582
S 5.1423 3.2992 1.1878
S 7.2141 4.2836 3.6644
```

Most intense lines, 15 to 90 degrees two-theta, by angle:
Position (°2θ)	d (Å)	I_rel
19.13	4.639	1000
21.82	4.074	568
23.23	3.829	406
23.74	3.748	996
27.90	3.198	361
30.43	2.937	914
31.86	2.808	383
32.70	2.739	423

---

(3)
This entry pairs a crystal structure of Rb4Sb2S5 with its calculated powder diffractogram. Radiation: Cu Kα. Structure: a GGA-PBE-relaxed structure.
Lines closer than 0.1° are merged.

Structure:
```
11
Lattice="5.5137 -4.0080 0.0000 5.5137 4.0080 0.0000 -2.5105 0.0000 9.2310" Properties=species:S:1:pos:R:3 pbc="T T T"
Rb 0.0000 0.0000 0.0000
Rb 0.8501 0.0000 7.2485
Rb 6.2296 0.0000 0.6202
Rb 8.7753 0.0000 4.0262
Sb 2.9734 0.0000 2.7727
Sb 5.0641 0.0000 6.2849
S 3.2255 1.8355 1.2253
S 3.6136 1.8842 6.6872
S 3.2255 -1.8355 1.2253
S 5.3015 0.0000 3.7894
S 3.6136 -1.8842 6.6872
```

Most intense lines, 15 to 90 degrees two-theta, by angle:
Position (°2θ)	d (Å)	I_rel
16.91	5.243	278
21.93	4.053	513
22.18	4.008	728
25.51	3.492	831
27.50	3.244	722
30.98	2.887	427
31.39	2.850	1000
45.24	2.005	515